# 1
Structure and simulated powder XRD pattern of MnAl2S4 (a crystal structure in the Materials Project, relaxed with GGA-PBE; copper Kα).
Peak positions follow from Bragg's law for the DFT cell and can differ from measured ones.

Atomic structure:
Cell: 7.183 7.183 7.183 Å, 60.00 60.00 60.00°
Fractional positions:
1 Mn 0.125 0.125 0.125
2 Mn 0.875 0.875 0.875
3 Al 0.000 0.500 0.500
4 Al 0.500 0.000 0.500
5 Al 0.500 0.500 0.000
6 Al 0.500 0.500 0.500
7 S 0.261 0.261 0.261
8 S 0.261 0.261 0.718
9 S 0.261 0.718 0.261
10 S 0.282 0.739 0.739
11 S 0.718 0.261 0.261
12 S 0.739 0.282 0.739
13 S 0.739 0.739 0.282
14 S 0.739 0.739 0.739

Principal peaks in the range 2θ from 5° to 70°, by angle:
d (Å), I/Imax
3.591, 52
3.063, 76
2.932, 34
2.540, 45
2.330, 10
2.074, 18
1.955, 48
1.796, 100
1.549, 9
1.357, 11

# 2
Structure and simulated powder XRD pattern of Ba2ErNbO6 (a crystal structure in the Materials Project, relaxed with GGA-PBE; copper Kα).
Peak positions follow from Bragg's law for the DFT cell and can differ from measured ones.

Atomic structure:
Cell: 6.025 6.025 6.025 Å, 60.00 60.00 60.00°
Fractional positions:
1 Ba 0.250 0.250 0.250
2 Ba 0.750 0.750 0.750
3 Er 0.000 0.000 0.000
4 Nb 0.500 0.500 0.500
5 O 0.262 0.262 0.738
6 O 0.262 0.738 0.262
7 O 0.262 0.738 0.738
8 O 0.738 0.262 0.262
9 O 0.738 0.262 0.738
10 O 0.738 0.738 0.262

Principal peaks in the range 2θ from 5° to 70°, by angle:
d (Å), I/Imax
4.920, 3
3.013, 100
2.569, 3
2.460, 2
2.130, 30
1.955, 2
1.739, 41
1.640, 1
1.506, 19
1.347, 18